# LiMn2P3O12
Calculated powder diffractogram, Cu Kα. Input: DFT lattice parameters and positions (PBE+U).
Kinematic intensities with the Lorentz-polarization factor, no thermal factor.

Top 8 peaks for 2θ from 10° to 90°, sorted by position:
d_spacing  I/Imax  h k l
6.024  27  0 1 1
5.977  72  1 0 1
4.369  100  1 1 2
3.603  92  1 2 2
3.578  46  2 1 0
3.012  26  0 2 2
2.988  54  2 0 2
2.750  54  1 2 -1

Cell and atoms:
Lattice parameters (Å, degrees): 8.184 8.259 8.762 62.02 62.25 60.31
Space group P-1 (No. 2)
Symmetry-distinct sites (fractional):
1 Li 0.248 0.428 0.133 [2 per cell]
2 Mn 0.142 0.647 0.570 [2 per cell]
3 Mn 0.349 0.854 0.948 [2 per cell]
4 P 0.037 0.249 0.748 [2 per cell]
5 P 0.252 0.031 0.249 [2 per cell]
6 P 0.467 0.534 0.749 [2 per cell]
7 O 0.017 0.296 0.564 [2 per cell]
8 O 0.107 0.400 0.735 [2 per cell]
9 O 0.113 0.241 0.262 [2 per cell]
10 O 0.170 0.710 0.102 [2 per cell]
11 O 0.179 0.037 0.797 [2 per cell]
12 O 0.197 0.882 0.435 [2 per cell]
13 O 0.214 0.015 0.100 [2 per cell]
14 O 0.259 0.622 0.732 [2 per cell]
15 O 0.374 0.500 0.427 [2 per cell]
16 O 0.466 0.009 0.204 [2 per cell]
17 O 0.466 0.340 0.914 [2 per cell]
18 O 0.499 0.675 0.794 [2 per cell]